[1]
Calculated powder XRD pattern of KBi2F7 for Cu Kα (λ = 1.5418 Å), from DFT lattice parameters and positions (PBE).
Neutral-atom scattering factors, no anomalous dispersion.

Structure:
```
data_KBi2F7
_chemical_formula_sum 'K2 Bi4 F14'
_cell_length_a 4.321
_cell_length_b 4.325
_cell_length_c 20.903
_cell_angle_alpha 85.02
_cell_angle_beta 85.06
_cell_angle_gamma 67.38
_space_group_name_H-M_alt 'P 1'
_space_group_IT_number 1
loop_
_space_group_symop_operation_xyz
'x,y,z'
loop_
_atom_site_label
_atom_site_type_symbol
_atom_site_fract_x
_atom_site_fract_y
_atom_site_fract_z
K1 K 0.000 0.000 0.000
K2 K 0.279 0.271 0.830
Bi1 Bi 0.196 0.382 0.339
Bi2 Bi 0.505 0.724 0.172
Bi3 Bi 0.576 0.709 0.667
Bi4 Bi 0.884 0.037 0.500
F1 F 0.023 0.872 0.652
F2 F 0.109 0.806 0.267
F3 F 0.115 0.832 0.391
F4 F 0.333 0.374 0.941
F5 F 0.339 0.264 0.193
F6 F 0.369 0.210 0.705
F7 F 0.417 0.128 0.456
F8 F 0.473 0.106 0.581
F9 F 0.585 0.712 0.069
F10 F 0.642 0.617 0.774
F11 F 0.715 0.463 0.299
F12 F 0.799 0.447 0.423
F13 F 0.811 0.506 0.548
F14 F 0.995 0.922 0.140
```

Most intense lines, 15 to 90 degrees two-theta, by intensity:
2θ (°)  I (rel.)  hkl
23.45  100  0 1 2
29.02  45  0 1 -4
25.71  35  0 0 6
40.33  29  0 1 8
27.19  29  1 1 -2
47.93  28  2 1 6
42.32  27  1 2 0
28.79  21  1 1 4
46.03  19  1 -1 6
22.48  18  1 0 1

=====

[2]
Calculated powder XRD pattern of K3Ag2P5O20 for Cu Kα (λ = 1.5418 Å), from DFT lattice parameters and positions (PBE).
Neutral-atom scattering factors, no anomalous dispersion.

Structure:
```
data_K3Ag2P5O20
_chemical_formula_sum 'K6 Ag4 P10 O40'
_cell_length_a 7.336
_cell_length_b 10.464
_cell_length_c 14.253
_cell_angle_alpha 79.04
_cell_angle_beta 88.84
_cell_angle_gamma 76.45
_space_group_name_H-M_alt 'P -1'
_space_group_IT_number 2
loop_
_space_group_symop_operation_xyz
'x,y,z'
'-x,-y,-z'
loop_
_atom_site_label
_atom_site_type_symbol
_atom_site_fract_x
_atom_site_fract_y
_atom_site_fract_z
K1 K 0.096 0.042 0.112
K2 K 0.159 0.369 0.258
K3 K 0.260 0.785 0.521
Ag1 Ag 0.198 0.469 0.947
Ag2 Ag 0.293 0.158 0.862
P1 P 0.183 0.672 0.095
P2 P 0.309 0.493 0.723
P3 P 0.312 0.740 0.782
P4 P 0.346 0.723 0.270
P5 P 0.433 0.808 0.960
O1 O 0.029 0.797 0.075
O2 O 0.107 0.530 0.417
O3 O 0.124 0.736 0.826
O4 O 0.149 0.539 0.083
O5 O 0.179 0.578 0.643
O6 O 0.190 0.115 0.745
O7 O 0.214 0.754 0.348
O8 O 0.226 0.411 0.805
O9 O 0.241 0.124 0.450
O10 O 0.258 0.639 0.204
O11 O 0.283 0.935 0.949
O12 O 0.331 0.835 0.692
O13 O 0.336 0.081 0.378
O14 O 0.337 0.147 0.518
O15 O 0.366 0.689 0.034
O16 O 0.371 0.195 0.006
O17 O 0.409 0.835 0.206
O18 O 0.420 0.587 0.768
O19 O 0.464 0.749 0.863
O20 O 0.479 0.396 0.679
```

Most intense lines, 15 to 90 degrees two-theta, by intensity:
2θ (°)  I (rel.)  hkl
24.98  100  2 0 0
28.15  98  2 1 -2
29.43  96  1 2 4
17.99  68  1 0 2
26.78  63  0 3 0
31.80  57  -1 3 1
24.04  56  1 -2 0
32.39  51  -1 2 4
28.63  51  1 3 -1
22.53  47  0 1 -3

=====

[3]
Calculated powder XRD pattern of V5Bi3 for Cu Kα (λ = 1.5418 Å), from DFT lattice parameters and positions (PBE).
Neutral-atom scattering factors, no anomalous dispersion.

Structure:
```
data_V5Bi3
_chemical_formula_sum 'V20 Bi12'
_cell_length_a 10.459
_cell_length_b 8.323
_cell_length_c 7.266
_cell_angle_alpha 90.00
_cell_angle_beta 90.00
_cell_angle_gamma 90.00
_space_group_name_H-M_alt 'P n m a'
_space_group_IT_number 62
loop_
_space_group_symop_operation_xyz
'x,y,z'
'-x,-y,-z'
'-x+1/2,-y,z+1/2'
'x+1/2,y,-z+1/2'
'x+1/2,-y+1/2,-z+1/2'
'-x+1/2,y+1/2,z+1/2'
'-x,y+1/2,-z'
'x,-y+1/2,z'
loop_
_atom_site_label
_atom_site_type_symbol
_atom_site_fract_x
_atom_site_fract_y
_atom_site_fract_z
V1 V 0.028 0.250 0.021
V2 V 0.074 0.083 0.737
V3 V 0.235 0.250 0.877
V4 V 0.248 0.750 0.781
Bi1 Bi 0.014 0.750 0.578
Bi2 Bi 0.174 0.537 0.087
```

Most intense lines, 15 to 90 degrees two-theta, by intensity:
2θ (°)  I (rel.)  hkl
28.40  100  3 0 1
26.11  73  1 2 1
33.86  63  1 2 2
27.39  49  2 2 0
37.08  45  2 2 2
42.55  41  2 1 3
25.96  40  1 0 2
40.76  34  4 2 0
28.13  32  1 1 2
35.69  31  1 3 1

=====

[4]
Calculated powder XRD pattern of ZnGaAsSe for Cu Kα (λ = 1.5418 Å), from DFT lattice parameters and positions (PBE).
Neutral-atom scattering factors, no anomalous dispersion.

Structure:
```
data_ZnGaAsSe
_chemical_formula_sum 'Zn3 Ga3 As3 Se3'
_cell_length_a 4.0576
_cell_length_b 4.0576
_cell_length_c 19.9219
_cell_angle_alpha 90.00
_cell_angle_beta 90.00
_cell_angle_gamma 120.00
_space_group_name_H-M_alt 'R 3 m'
_space_group_IT_number 160
_space_group_name_Hall 'R 3 -2"'
loop_
_atom_site_label
_atom_site_type_symbol
_atom_site_fract_x
_atom_site_fract_y
_atom_site_fract_z
Zn1 Zn 0.0000 0.0000 0.0000
Ga1 Ga 0.0000 0.0000 0.4965
As1 As 0.0000 0.0000 0.1236
Se1 Se 0.0000 0.0000 0.6224
```

Most intense lines, 15 to 90 degrees two-theta, by intensity:
2θ (°)  I (rel.)  hkl
26.89  100  0 1 2
44.63  74  1 1 0
52.88  44  1 0 10
82.29  18  3 0 0
64.96  12  2 0 8
88.50  10  2 1 10
71.69  9  1 2 2
71.57  9  0 2 10
82.12  6  1 0 16
88.37  3  0 0 18

=====

[5]
Calculated powder XRD pattern of Nd2Ni2Sn for Cu Kα (λ = 1.5418 Å), from DFT lattice parameters and positions (PBE).
Neutral-atom scattering factors, no anomalous dispersion.

Structure:
```
data_Nd2Ni2Sn
_chemical_formula_sum 'Nd4 Ni4 Sn2'
_cell_length_a 4.345
_cell_length_b 5.833
_cell_length_c 8.494
_cell_angle_alpha 90.00
_cell_angle_beta 90.00
_cell_angle_gamma 90.00
_space_group_name_H-M_alt 'I m m m'
_space_group_IT_number 71
_space_group_name_Hall '-I 2 2'
loop_
_atom_site_label
_atom_site_type_symbol
_atom_site_fract_x
_atom_site_fract_y
_atom_site_fract_z
Nd1 Nd 0.000 0.000 0.204
Ni1 Ni 0.000 0.292 0.500
Sn1 Sn 0.000 0.500 0.000
```

Most intense lines, 15 to 90 degrees two-theta, by intensity:
2θ (°)  I (rel.)  hkl
33.26  100  1 1 2
38.66  42  1 2 1
35.24  25  0 1 3
41.57  25  2 0 0
67.33  22  1 2 5
30.66  17  0 2 0
55.60  14  2 1 3
73.42  13  2 3 3
37.41  12  0 2 2
57.50  12  0 3 3

=====

[6]
Calculated powder XRD pattern of AsPd6Pb for Cu Kα (λ = 1.5418 Å), from DFT lattice parameters and positions (PBE).
Neutral-atom scattering factors, no anomalous dispersion.

Structure:
```
data_AsPd6Pb
_chemical_formula_sum 'As3 Pd18 Pb3'
_cell_length_a 4.5510
_cell_length_b 4.5510
_cell_length_c 22.1287
_cell_angle_alpha 90.00
_cell_angle_beta 90.00
_cell_angle_gamma 120.00
_space_group_name_H-M_alt 'R -3 m'
_space_group_IT_number 166
_space_group_name_Hall '-R 3 2"'
loop_
_atom_site_label
_atom_site_type_symbol
_atom_site_fract_x
_atom_site_fract_y
_atom_site_fract_z
As1 As 0.0000 0.0000 0.0000
Pd1 Pd 0.0000 0.0000 0.1159
Pd2 Pd 0.0000 0.0000 0.2443
Pd3 Pd 0.0000 0.0000 0.3672
Pb1 Pb 0.0000 0.0000 0.5000
```

Most intense lines, 15 to 90 degrees two-theta, by intensity:
2θ (°)  I (rel.)  hkl
39.61  100  1 1 0
39.81  89  0 1 8
72.00  30  1 2 8
57.41  30  2 0 8
71.86  17  3 0 0
36.43  13  1 0 7
85.31  11  2 2 0
72.42  11  1 0 16
77.04  7  1 1 15
85.84  7  0 2 16